Entry 1:
Calculated X-ray powder pattern of KRb4Cl5 for copper Kα, from a structure optimized by DFT (GGA-PBE).
No peak broadening, texture or thermal motion is included.

Cell and atoms:
```
KRb4Cl5
1.0
-2.3411 3.3192 11.7223
2.3411 -3.3192 11.7223
2.3411 3.3192 -11.7223
K Rb Cl
1 4 5
Cartesian
0.0000 0.0000 0.0000 K
0.0000 0.0000 4.6357 Rb
0.0000 0.0000 9.3945 Rb
0.0000 0.0000 14.0501 Rb
0.0000 0.0000 18.8089 Rb
2.3411 0.0000 2.2219 Cl
2.3411 0.0000 7.0160 Cl
0.0000 3.3192 0.0000 Cl
0.0000 3.3192 4.7063 Cl
0.0000 3.3192 9.5004 Cl
```

Main lines, sorted by position (10 to 90 degrees two-theta):
2θ/deg	I_rel
23.24	23
26.89	100
38.40	73
45.37	13
47.50	25
55.47	8
62.65	26
69.42	15
69.51	8
88.49	8

=====

Entry 2:
Calculated X-ray powder pattern of KRb2ReCl8 for copper Kα, from a structure optimized by DFT (GGA-PBE).
No peak broadening, texture or thermal motion is included.

Cell and atoms:
```
KRb2ReCl8
1.0
5.9882 0.0000 0.0000
2.1471 7.1246 0.0000
0.0051 0.0048 9.9441
K Rb Re Cl
1 2 1 8
Cartesian
0.0000 0.0000 0.0000 K
4.0633 3.5607 2.4743 Rb
4.0771 3.5687 7.4698 Rb
0.0025 0.0024 4.9721 Re
0.8829 1.4000 3.2912 Cl
0.8861 1.3971 6.6534 Cl
4.0960 5.8516 4.9690 Cl
3.3998 1.7247 9.9420 Cl
4.7406 5.4047 0.0022 Cl
4.0444 1.2778 4.9752 Cl
7.2543 5.7323 3.2907 Cl
7.2575 5.7294 6.6529 Cl
```

Main lines, sorted by position (10 to 90 degrees two-theta):
2θ/deg	I_rel
12.42	16
15.30	39
16.82	61
17.86	42
21.80	76
22.54	42
31.18	100
35.17	23
37.95	28
48.47	17

=====

Entry 3:
Calculated X-ray powder pattern of K2RbRhCl6 for copper Kα, from a structure optimized by DFT (GGA-PBE).
No peak broadening, texture or thermal motion is included.

Cell and atoms:
```
K2RbRhCl6
1.0
7.0390 0.0000 0.0000
0.0000 10.7518 0.0000
0.0000 0.0000 8.7141
K Rb Rh Cl
4 2 2 12
Cartesian
1.7597 0.5565 1.4298 K
1.7597 4.8194 1.4298 K
5.2792 5.9324 7.2843 K
5.2792 10.1952 7.2843 K
1.7597 2.6879 5.8714 Rb
5.2792 8.0638 2.8427 Rb
1.7597 8.0638 7.1257 Rh
5.2792 2.6879 1.5884 Rh
0.0613 8.0638 5.4761 Cl
0.1199 8.0638 0.1353 Cl
1.7597 5.6905 7.1083 Cl
1.7597 10.4372 7.1083 Cl
3.3995 8.0638 0.1353 Cl
3.4582 8.0638 5.4761 Cl
3.5808 2.6879 3.2379 Cl
3.6394 2.6879 8.5788 Cl
5.2792 0.3146 1.6058 Cl
5.2792 5.0613 1.6058 Cl
6.9190 2.6879 8.5788 Cl
6.9777 2.6879 3.2379 Cl
```

Main lines, sorted by position (10 to 90 degrees two-theta):
2θ/deg	I_rel
10.15	51
13.08	60
16.19	100
16.49	69
18.18	33
23.19	80
32.71	43
33.34	49
33.78	76
37.27	45

=====

Entry 4:
Calculated X-ray powder pattern of K2RbRuCl6 for copper Kα, from a structure optimized by DFT (GGA-PBE).
No peak broadening, texture or thermal motion is included.

Cell and atoms:
```
K2RbRuCl6
1.0
3.5497 2.0494 15.7008
-3.5497 2.0494 15.7008
0.0000 -4.0988 15.7008
K Rb Ru Cl
4 2 2 12
Cartesian
0.0000 0.0000 6.9162 K
0.0000 0.0000 14.7804 K
0.0000 0.0000 32.3220 K
0.0000 0.0000 40.1862 K
0.0000 0.0000 19.5443 Rb
0.0000 0.0000 27.5582 Rb
0.0000 0.0000 0.0000 Ru
0.0000 0.0000 23.5512 Ru
-1.6845 -0.9725 22.1554 Cl
0.0000 -2.1675 17.1031 Cl
-1.8771 1.0837 17.1031 Cl
-1.8771 -1.0837 29.9993 Cl
0.0000 -1.9451 24.9471 Cl
-1.6845 0.9726 24.9471 Cl
1.6845 -0.9725 22.1553 Cl
0.0000 1.9451 22.1553 Cl
1.8771 1.0837 17.1031 Cl
1.8771 -1.0837 29.9994 Cl
0.0000 2.1675 29.9994 Cl
1.6845 0.9725 24.9471 Cl
```

Main lines, sorted by position (10 to 90 degrees two-theta):
2θ/deg	I_rel
11.27	88
14.53	25
14.89	100
23.80	22
25.09	49
32.01	60
34.05	62
35.96	45
50.22	20
51.49	34

=====

Entry 5:
Calculated X-ray powder pattern of K3Rb4SnCl8 for copper Kα, from a structure optimized by DFT (GGA-PBE).
No peak broadening, texture or thermal motion is included.

Cell and atoms:
```
K3Rb4SnCl8
1.0
8.1965 -4.5232 0.0000
8.1965 4.5232 0.0000
-4.8445 0.0000 7.7095
K Rb Sn Cl
3 4 1 8
Cartesian
0.0000 0.0000 0.0000 K
1.6760 2.2616 3.8547 K
1.6760 -2.2616 3.8547 K
-2.4223 0.0000 3.8547 Rb
4.0982 2.2616 0.0000 Rb
4.0982 -2.2616 0.0000 Rb
5.7742 0.0000 3.8547 Rb
8.1965 0.0000 0.0000 Sn
0.1966 0.0000 5.4899 Cl
2.8164 0.0000 1.9688 Cl
4.3898 2.1446 5.9069 Cl
7.1586 2.1446 1.8025 Cl
4.3898 -2.1446 5.9069 Cl
7.1586 -2.1446 1.8025 Cl
8.7321 0.0000 5.7407 Cl
11.3519 0.0000 2.2196 Cl
```

Main lines, sorted by position (10 to 90 degrees two-theta):
2θ/deg	I_rel
23.48	17
25.67	60
27.81	100
37.82	40
38.59	38
39.61	17
39.86	18
47.16	10
48.02	20
57.45	11

=====

Entry 6:
Calculated X-ray powder pattern of K2RbTbCl6 for copper Kα, from a structure optimized by DFT (GGA-PBE).
No peak broadening, texture or thermal motion is included.

Cell and atoms:
```
K2RbTbCl6
1.0
0.0000 5.7432 5.7432
5.7432 0.0000 5.7432
5.7432 5.7432 0.0000
K Rb Tb Cl
2 1 1 6
Cartesian
2.8716 2.8716 2.8716 K
8.6148 8.6148 8.6148 K
0.0000 0.0000 0.0000 Rb
5.7432 5.7432 5.7432 Tb
5.7432 5.7432 3.0989 Cl
5.7432 3.0989 5.7432 Cl
8.3875 5.7432 5.7432 Cl
3.0989 5.7432 5.7432 Cl
5.7432 8.3875 5.7432 Cl
5.7432 5.7432 8.3875 Cl
```

Main lines, sorted by position (10 to 90 degrees two-theta):
2θ/deg	I_rel
13.35	30
15.43	97
21.89	100
31.15	90
34.93	47
38.39	44
44.63	59
47.49	25
50.24	24
60.30	26

=====

Entry 7:
Calculated X-ray powder pattern of K2RbTeCl for copper Kα, from a structure optimized by DFT (GGA-PBE).
No peak broadening, texture or thermal motion is included.

Cell and atoms:
```
K2RbTeCl
1.0
5.8708 0.0000 0.0000
0.0000 5.8708 0.0000
0.0000 0.0000 6.1082
K Rb Te Cl
2 1 1 1
Cartesian
0.0000 2.9354 0.0000 K
2.9354 0.0000 0.0000 K
0.0000 0.0000 3.0541 Rb
2.9354 2.9354 3.0541 Te
0.0000 0.0000 0.0000 Cl
```

Main lines, sorted by position (10 to 90 degrees two-theta):
2θ/deg	I_rel
21.40	33
25.95	100
29.24	30
30.45	54
36.53	17
42.73	41
43.61	19
49.89	16
51.44	29
53.37	21

=====

Entry 8:
Calculated X-ray powder pattern of K2RbThCl8 for copper Kα, from a structure optimized by DFT (GGA-PBE).
No peak broadening, texture or thermal motion is included.

Cell and atoms:
```
K2RbThCl8
1.0
5.9187 0.0000 0.0000
0.0038 7.5353 0.0000
0.0671 0.0083 9.9475
K Rb Th Cl
2 1 1 8
Cartesian
0.0375 7.5354 2.2665 K
5.9522 0.0082 7.6810 K
2.9948 3.7718 4.9737 Rb
2.9613 3.7676 0.0000 Th
1.5091 2.7676 2.0446 Cl
1.5732 2.7403 7.9233 Cl
1.6078 7.4731 4.9737 Cl
1.6542 6.0926 9.9258 Cl
4.3354 1.4510 0.0217 Cl
4.3818 0.0705 4.9738 Cl
4.4164 4.8033 2.0241 Cl
4.4805 4.7760 7.9029 Cl
```

Main lines, sorted by position (10 to 90 degrees two-theta):
2θ/deg	I_rel
11.74	45
14.75	48
14.97	33
19.07	100
23.28	33
23.44	33
23.61	31
33.40	26
37.21	38
37.42	38

=====

Entry 9:
Calculated X-ray powder pattern of KRbThCl6 for copper Kα, from a structure optimized by DFT (GGA-PBE).
No peak broadening, texture or thermal motion is included.

Cell and atoms:
```
KRbThCl6
1.0
7.8543 0.0000 0.0000
-3.9272 6.8021 0.0000
0.0000 0.0000 13.3079
K Rb Th Cl
2 2 2 12
Cartesian
0.0000 4.5347 3.3270 K
3.9272 2.2674 9.9809 K
0.0000 0.0000 0.0000 Rb
0.0000 0.0000 6.6539 Rb
0.0000 4.5347 9.9809 Th
3.9272 2.2674 3.3270 Th
-1.1564 2.6292 8.4553 Cl
-2.2284 4.4859 11.5065 Cl
1.1564 2.6292 11.5065 Cl
-1.0720 6.4889 8.4553 Cl
2.8552 0.3131 1.8014 Cl
1.6988 2.3161 4.8526 Cl
2.2284 4.4859 8.4553 Cl
1.0720 6.4889 11.5065 Cl
4.9991 0.3131 4.8526 Cl
2.7708 4.1728 1.8014 Cl
6.1556 2.3161 1.8014 Cl
5.0836 4.1728 4.8526 Cl
```

Main lines, sorted by position (10 to 90 degrees two-theta):
2θ/deg	I_rel
13.31	27
14.63	100
18.65	88
22.64	35
26.35	45
29.50	27
35.36	71
37.50	30
39.75	33
54.24	19

=====

Entry 10:
Calculated X-ray powder pattern of K3RbZn4Cl12 for copper Kα, from a structure optimized by DFT (GGA-PBE).
No peak broadening, texture or thermal motion is included.

Cell and atoms:
```
K3RbZn4Cl12
1.0
7.4250 4.2868 3.9946
-7.4250 4.2868 3.9946
0.0000 -8.5737 3.9946
K Rb Zn Cl
3 1 4 12
Cartesian
-3.9978 -1.6492 3.9946 K
3.4272 -2.6376 3.9946 K
0.5706 4.2868 3.9946 K
0.0000 0.0000 0.0000 Rb
-3.3923 -5.8756 5.9919 Zn
0.0000 0.0000 5.9919 Zn
-3.3923 5.8756 5.9919 Zn
6.7846 0.0000 5.9919 Zn
-4.5706 -4.0168 6.0051 Cl
-5.8590 0.0000 5.9919 Cl
-1.1934 -5.9666 5.9787 Cl
-4.5706 4.0168 5.9787 Cl
-2.1955 0.0000 5.9919 Cl
2.9295 -5.0740 5.9919 Cl
1.0977 -1.9013 5.9919 Cl
1.0977 1.9013 5.9919 Cl
-1.1934 5.9666 6.0051 Cl
5.7639 -1.9498 6.0051 Cl
2.9295 5.0740 5.9919 Cl
5.7639 1.9498 5.9787 Cl
```

Main lines, sorted by position (10 to 90 degrees two-theta):
2θ/deg	I_rel
19.71	26
20.26	100
22.25	26
23.97	18
32.98	33
39.24	16
39.74	13
45.42	12
52.04	15
58.96	17

=====

Entry 11:
Calculated X-ray powder pattern of KRbZnCl4 for copper Kα, from a structure optimized by DFT (GGA-PBE).
No peak broadening, texture or thermal motion is included.

Cell and atoms:
```
KRbZnCl4
1.0
7.2105 0.0000 0.0000
0.0000 7.2400 0.0000
-2.8629 0.0000 8.6190
K Rb Zn Cl
2 2 2 8
Cartesian
1.4034 1.8100 0.4193 K
2.9442 5.4300 8.1997 K
0.3866 1.8100 4.9215 Rb
3.9610 5.4300 3.6975 Rb
-0.6788 5.4300 6.9412 Zn
5.0263 1.8100 1.6777 Zn
-2.0493 3.6472 6.4646 Cl
-2.0493 7.2127 6.4646 Cl
2.7360 5.4300 0.5305 Cl
1.1626 5.4300 5.5812 Cl
3.1850 1.8100 3.0378 Cl
1.6115 1.8100 8.0885 Cl
6.3969 0.0272 2.1544 Cl
6.3969 3.5927 2.1544 Cl
```

Main lines, sorted by position (10 to 90 degrees two-theta):
2θ/deg	I_rel
13.76	37
18.93	37
24.59	52
27.72	73
27.88	33
30.39	100
32.30	38
36.12	47
39.69	37
54.75	33

=====

Entry 12:
Calculated X-ray powder pattern of K2ReCl7 for copper Kα, from a structure optimized by DFT (GGA-PBE).
No peak broadening, texture or thermal motion is included.

Cell and atoms:
```
K2ReCl7
1.0
8.4837 -3.8404 0.0000
8.4837 3.8404 0.0000
-7.4494 0.0000 9.2514
K Re Cl
4 2 14
Cartesian
-0.7208 2.5617 8.9236 K
6.5139 2.5617 4.9535 K
3.0040 -2.5617 4.2979 K
10.2386 -2.5617 0.3278 K
2.8966 1.6868 6.9385 Re
6.6213 -1.6868 2.3128 Re
-0.4134 0.1313 2.4333 Cl
-4.1381 -0.1313 7.0590 Cl
3.3276 1.7147 4.6236 Cl
0.6195 0.9536 6.4602 Cl
9.9150 1.7147 0.0021 Cl
6.6213 0.7480 2.3128 Cl
4.3442 -0.9536 1.8345 Cl
5.1737 0.9536 7.4168 Cl
2.8966 -0.7480 6.9385 Cl
-0.3972 -1.7147 9.2493 Cl
8.8984 -0.9536 2.7911 Cl
6.1903 -1.7147 4.6278 Cl
13.6560 0.1313 2.1924 Cl
9.9313 -0.1313 6.8181 Cl
```

Main lines, sorted by position (10 to 90 degrees two-theta):
2θ/deg	I_rel
13.40	88
13.75	100
14.98	39
18.74	45
19.19	23
31.51	22
31.99	28
38.71	28
38.95	21
40.07	21